Sm2TlV: simulated X-ray powder pattern (copper Kα), based on a GGA-PBE-relaxed structure.

Atomic structure:
```
data_Sm2TlV
_chemical_formula_sum 'Sm6 Tl3 V3'
_space_group_name_H-M_alt 'R -3 m'
_space_group_IT_number 166
_space_group_name_Hall '-R 3 2"'
_cell_length_a 3.3792
_cell_length_b 3.3792
_cell_length_c 33.6523
_cell_angle_alpha 90.00
_cell_angle_beta 90.00
_cell_angle_gamma 120.00
loop_
_atom_site_label
_atom_site_fract_x
_atom_site_fract_y
_atom_site_fract_z
Sm1 0.0000 0.0000 0.0843
Tl1 0.0000 0.0000 0.5000
V1 0.0000 0.0000 0.0000
```

Main lines, by angle (15 to 90 degrees two-theta):
2θ/deg, I (rel.)
31.02, 100
31.91, 59
33.39, 89
35.93, 69
40.87, 52
64.37, 47